# 1
For Sm9Y2Tm3, a DFT-relaxed cell (GGA-PBE, Alexandria) gives the calculated powder XRD pattern in this record (Cu Kα (weighted mean of Kα1 and Kα2)).
Peak positions follow from Bragg's law for the DFT cell and can differ from measured ones.

Largest 10 diffraction maxima, by angle, 10° ≤ 2θ ≤ 90°:
Position (°2θ)  Rel. int.
25.65  31
29.97  38
31.03  68
32.57  14
33.03  100
34.27  20
36.14  31
53.73  15
53.91  30
60.62  18

Structural model:
Lattice parameters (Å, degrees): 8.9999 8.9999 13.8903 90.00 90.00 120.00
Fractional coordinates of all 28 atoms:
Sm  0.0827  0.4814  0.2500
Sm  0.1324  0.7238  0.0424
Sm  0.1324  0.7238  0.4576
Sm  0.2762  0.4086  0.0424
Sm  0.2762  0.4086  0.4576
Sm  0.3987  0.9173  0.2500
Sm  0.4086  0.1324  0.5424
Sm  0.4086  0.1324  0.9576
Sm  0.4814  0.3987  0.7500
Sm  0.5186  0.6013  0.2500
Sm  0.5914  0.8676  0.0424
Sm  0.5914  0.8676  0.4576
Sm  0.6013  0.0827  0.7500
Sm  0.7238  0.5914  0.5424
Sm  0.7238  0.5914  0.9576
Sm  0.8676  0.2762  0.5424
Sm  0.8676  0.2762  0.9576
Sm  0.9173  0.5186  0.7500
Y  0.3333  0.6667  0.6422
Y  0.3333  0.6667  0.8578
Y  0.6667  0.3333  0.1422
Y  0.6667  0.3333  0.3578
Tm  0.0767  0.2498  0.7500
Tm  0.1731  0.9233  0.7500
Tm  0.2498  0.1731  0.2500
Tm  0.7502  0.8269  0.7500
Tm  0.8269  0.0767  0.2500
Tm  0.9233  0.7502  0.2500



# 2
For Sm5Y12Tm, a DFT-relaxed cell (GGA-PBE, Alexandria) gives the calculated powder XRD pattern in this record (Cu Kα (weighted mean of Kα1 and Kα2)).
Peak positions follow from Bragg's law for the DFT cell and can differ from measured ones.

Largest 10 diffraction maxima, by angle, 10° ≤ 2θ ≤ 90°:
Position (°2θ)  Rel. int.
11.66  7
30.57  100
35.44  50
50.99  35
60.62  35
60.69  7
63.63  12
83.09  11
85.74  8
85.83  8

Structural model:
Lattice parameters (Å, degrees): 10.7389 5.0662 10.7516 90.00 90.09 90.00
Fractional coordinates of all 18 atoms:
Sm  0.0000  0.0000  0.0000
Sm  0.1670  0.5000  0.8331
Sm  0.3344  0.0000  0.6656
Sm  0.6656  0.0000  0.3344
Sm  0.8330  0.5000  0.1669
Y  0.0000  0.0000  0.3341
Y  0.0000  0.0000  0.6659
Y  0.1669  0.5000  0.1669
Y  0.1679  0.5000  0.4997
Y  0.3341  0.0000  0.0000
Y  0.3341  0.0000  0.3341
Y  0.4997  0.5000  0.1680
Y  0.5003  0.5000  0.8320
Y  0.6659  0.0000  0.0000
Y  0.6659  0.0000  0.6659
Y  0.8321  0.5000  0.5003
Y  0.8331  0.5000  0.8331
Tm  0.5000  0.5000  0.5000



# 3
For SmY2Tm2, a DFT-relaxed cell (GGA-PBE, Alexandria) gives the calculated powder XRD pattern in this record (Cu Kα (weighted mean of Kα1 and Kα2)).
Peak positions follow from Bragg's law for the DFT cell and can differ from measured ones.

Largest 10 diffraction maxima, by angle, 10° ≤ 2θ ≤ 90°:
Position (°2θ)  Rel. int.
29.23  26
30.12  42
30.77  40
31.04  73
32.44  100
33.44  94
35.76  26
51.28  54
61.16  63
86.98  24

Structural model:
Lattice parameters (Å, degrees): 14.5478 7.1278 6.1708 90.00 98.07 90.00
Fractional coordinates of all 20 atoms:
Sm  0.1990  0.1246  0.1507
Sm  0.1990  0.3754  0.6507
Sm  0.8010  0.6246  0.3493
Sm  0.8010  0.8754  0.8493
Y  0.1992  0.6266  0.1470
Y  0.1992  0.8734  0.6470
Y  0.4005  0.1245  0.8832
Y  0.4005  0.3755  0.3832
Y  0.5995  0.6245  0.6168
Y  0.5995  0.8755  0.1168
Y  0.8008  0.1266  0.3530
Y  0.8008  0.3734  0.8530
Tm  0.0000  0.1245  0.7508
Tm  0.0000  0.3755  0.2508
Tm  0.0000  0.6245  0.7492
Tm  0.0000  0.8755  0.2492
Tm  0.4004  0.6255  0.8839
Tm  0.4004  0.8745  0.3839
Tm  0.5996  0.1255  0.6161
Tm  0.5996  0.3745  0.1161



# 4
For SmY2Tm12, a DFT-relaxed cell (GGA-PBE, Alexandria) gives the calculated powder XRD pattern in this record (Cu Kα (weighted mean of Kα1 and Kα2)).
Peak positions follow from Bragg's law for the DFT cell and can differ from measured ones.

Largest 10 diffraction maxima, by angle, 10° ≤ 2θ ≤ 90°:
Position (°2θ)  Rel. int.
31.38  94
32.09  57
32.20  57
32.79  100
37.88  19
46.99  16
47.11  15
57.69  16
63.05  25
63.44  17

Structural model:
Lattice parameters (Å, degrees): 3.4750 5.4652 24.4746 83.81 85.97 89.99
Fractional coordinates of all 15 atoms:
Sm  0.0000  0.0000  0.0000
Y  0.3586  0.8607  0.2755
Y  0.6414  0.1393  0.7245
Tm  0.0968  0.5944  0.8073
Tm  0.1705  0.6673  0.6672
Tm  0.2049  0.2011  0.5971
Tm  0.2678  0.2717  0.4587
Tm  0.4322  0.9342  0.1354
Tm  0.4659  0.4677  0.0667
Tm  0.5341  0.5323  0.9333
Tm  0.5678  0.0658  0.8646
Tm  0.7322  0.7283  0.5413
Tm  0.7951  0.7989  0.4029
Tm  0.8295  0.3327  0.3328
Tm  0.9032  0.4056  0.1927



# 5
For Sm5YTm6, a DFT-relaxed cell (GGA-PBE, Alexandria) gives the calculated powder XRD pattern in this record (Cu Kα (weighted mean of Kα1 and Kα2)).
Peak positions follow from Bragg's law for the DFT cell and can differ from measured ones.

Largest 10 diffraction maxima, by angle, 10° ≤ 2θ ≤ 90°:
Position (°2θ)  Rel. int.
30.83  100
35.63  34
36.00  17
51.27  12
51.55  24
61.03  29
61.53  14
64.24  12
83.68  6
84.13  12

Structural model:
Lattice parameters (Å, degrees): 9.4041 9.4041 9.4041 148.92 115.92 72.93
Fractional coordinates of all 12 atoms:
Sm  0.0000  0.0000  0.0000
Sm  0.1671  0.6671  0.5000
Sm  0.3339  0.3339  0.0000
Sm  0.6661  0.6661  0.0000
Sm  0.8329  0.3329  0.5000
Y  0.5000  0.0000  0.5000
Tm  0.0833  0.8334  0.2500
Tm  0.2498  0.5000  0.7498
Tm  0.4166  0.1666  0.2500
Tm  0.5834  0.8334  0.7500
Tm  0.7502  0.5000  0.2502
Tm  0.9167  0.1666  0.7500



# 6
For Sm3Y2Tm, a DFT-relaxed cell (GGA-PBE, Alexandria) gives the calculated powder XRD pattern in this record (Cu Kα (weighted mean of Kα1 and Kα2)).
Peak positions follow from Bragg's law for the DFT cell and can differ from measured ones.

Largest 10 diffraction maxima, by angle, 10° ≤ 2θ ≤ 90°:
Position (°2θ)  Rel. int.
28.72  44
30.97  48
31.72  100
33.37  58
33.48  28
50.52  24
54.47  15
60.36  28
60.51  14
61.90  14

Structural model:
Lattice parameters (Å, degrees): 7.2261 7.2265 8.9162 78.18 78.23 60.13
Fractional coordinates of all 12 atoms:
Sm  0.1391  0.1379  0.1661
Sm  0.2495  0.7499  0.4997
Sm  0.3609  0.8621  0.8316
Sm  0.6391  0.1379  0.1684
Sm  0.7505  0.2501  0.5003
Sm  0.8609  0.8621  0.8339
Y  0.1383  0.6370  0.1690
Y  0.3611  0.3621  0.8336
Y  0.6389  0.6379  0.1664
Y  0.8617  0.3630  0.8310
Tm  0.2498  0.2502  0.5004
Tm  0.7502  0.7498  0.4996



# 7
For Sm2Y3Tm3, a DFT-relaxed cell (GGA-PBE, Alexandria) gives the calculated powder XRD pattern in this record (Cu Kα (weighted mean of Kα1 and Kα2)).
Peak positions follow from Bragg's law for the DFT cell and can differ from measured ones.

Largest 10 diffraction maxima, by angle, 10° ≤ 2θ ≤ 90°:
Position (°2θ)  Rel. int.
18.61  17
27.97  19
29.98  14
32.53  87
32.68  100
33.81  16
46.78  30
51.56  11
58.11  42
65.22  16

Structural model:
Lattice parameters (Å, degrees): 6.4433 6.4433 6.4433 95.44 95.44 95.44
Fractional coordinates of all 8 atoms:
Sm  0.1966  0.1966  0.1966
Sm  0.8034  0.8034  0.8034
Y  0.2137  0.7863  0.5000
Y  0.5000  0.2137  0.7863
Y  0.7863  0.5000  0.2137
Tm  0.0000  0.3114  0.6886
Tm  0.3114  0.6886  0.0000
Tm  0.6886  0.0000  0.3114



# 8
For SmTmZn3, a DFT-relaxed cell (GGA-PBE, Alexandria) gives the calculated powder XRD pattern in this record (Cu Kα (weighted mean of Kα1 and Kα2)).
Peak positions follow from Bragg's law for the DFT cell and can differ from measured ones.

Largest 10 diffraction maxima, by angle, 10° ≤ 2θ ≤ 90°:
Position (°2θ)  Rel. int.
28.49  32
31.69  16
35.08  58
35.79  100
36.89  89
37.02  55
51.92  38
62.67  16
65.91  16
66.62  15

Structural model:
Lattice parameters (Å, degrees): 7.5496 7.5496 6.3080 99.35 99.35 37.53
Fractional coordinates of all 10 atoms:
Sm  0.1129  0.1129  0.4503
Sm  0.8871  0.8871  0.5497
Tm  0.3173  0.3173  0.8908
Tm  0.6827  0.6827  0.1092
Zn  0.0788  0.0788  0.9119
Zn  0.3021  0.3021  0.3433
Zn  0.4867  0.4867  0.2798
Zn  0.5133  0.5133  0.7202
Zn  0.6979  0.6979  0.6567
Zn  0.9212  0.9212  0.0881



# 9
For Sm6TmZn, a DFT-relaxed cell (GGA-PBE, Alexandria) gives the calculated powder XRD pattern in this record (Cu Kα (weighted mean of Kα1 and Kα2)).
Peak positions follow from Bragg's law for the DFT cell and can differ from measured ones.

Largest 10 diffraction maxima, by angle, 10° ≤ 2θ ≤ 90°:
Position (°2θ)  Rel. int.
27.09  28
28.43  18
30.44  100
33.24  22
34.36  79
38.10  12
47.22  19
51.46  31
59.12  16
63.35  12

Structural model:
Lattice parameters (Å, degrees): 6.3429 6.3451 6.3457 95.55 95.58 95.47
Fractional coordinates of all 8 atoms:
Sm  0.0441  0.2630  0.0739
Sm  0.2372  0.9257  0.4562
Sm  0.4261  0.4558  0.7372
Sm  0.5739  0.5442  0.2628
Sm  0.7628  0.0743  0.5438
Sm  0.9559  0.7370  0.9261
Tm  0.5000  0.0000  0.0000
Zn  0.0000  0.5000  0.5000



# 10
For Sm3TmZn2, a DFT-relaxed cell (GGA-PBE, Alexandria) gives the calculated powder XRD pattern in this record (Cu Kα (weighted mean of Kα1 and Kα2)).
Peak positions follow from Bragg's law for the DFT cell and can differ from measured ones.

Largest 10 diffraction maxima, by angle, 10° ≤ 2θ ≤ 90°:
Position (°2θ)  Rel. int.
24.72  43
25.67  53
27.48  29
28.40  41
33.50  100
35.77  30
35.94  83
37.96  32
52.78  52
63.26  32

Structural model:
Lattice parameters (Å, degrees): 8.7824 8.7824 8.7824 133.44 69.82 131.09
Fractional coordinates of all 12 atoms:
Sm  0.0238  0.7500  0.2738
Sm  0.2500  0.2500  0.0000
Sm  0.4762  0.7500  0.7262
Sm  0.5238  0.2500  0.2738
Sm  0.7500  0.7500  0.0000
Sm  0.9762  0.2500  0.7262
Tm  0.0000  0.5000  0.5000
Tm  0.5000  0.0000  0.5000
Zn  0.1369  0.2062  0.3430
Zn  0.3631  0.7062  0.0693
Zn  0.6369  0.2938  0.9307
Zn  0.8631  0.7938  0.6570



# 11
For SmTm2Zn9, a DFT-relaxed cell (GGA-PBE, Alexandria) gives the calculated powder XRD pattern in this record (Cu Kα (weighted mean of Kα1 and Kα2)).
Peak positions follow from Bragg's law for the DFT cell and can differ from measured ones.

Largest 10 diffraction maxima, by angle, 10° ≤ 2θ ≤ 90°:
Position (°2θ)  Rel. int.
30.95  40
32.97  52
33.85  36
38.42  38
39.31  100
42.29  30
57.62  15
63.15  24
64.46  23
69.16  24

Structural model:
Lattice parameters (Å, degrees): 9.1006 9.1006 9.1006 34.74 34.74 34.74
Fractional coordinates of all 12 atoms:
Sm  0.0000  0.0000  0.0000
Tm  0.1407  0.1407  0.1407
Tm  0.8593  0.8593  0.8593
Zn  0.0765  0.5870  0.5870
Zn  0.3351  0.3351  0.3351
Zn  0.4130  0.4130  0.9235
Zn  0.4130  0.9235  0.4130
Zn  0.5000  0.5000  0.5000
Zn  0.5870  0.0765  0.5870
Zn  0.5870  0.5870  0.0765
Zn  0.6649  0.6649  0.6649
Zn  0.9235  0.4130  0.4130



# 12
For Sm2Tm6Zn, a DFT-relaxed cell (GGA-PBE, Alexandria) gives the calculated powder XRD pattern in this record (Cu Kα (weighted mean of Kα1 and Kα2)).
Peak positions follow from Bragg's law for the DFT cell and can differ from measured ones.

Largest 10 diffraction maxima, by angle, 10° ≤ 2θ ≤ 90°:
Position (°2θ)  Rel. int.
31.40  21
32.45  100
32.77  58
33.58  41
38.68  10
47.35  19
58.00  10
58.22  9
59.34  13
59.53  11

Structural model:
Lattice parameters (Å, degrees): 5.3381 9.6625 11.4262 90.00 117.81 90.00
Fractional coordinates of all 18 atoms:
Sm  0.2447  0.1916  0.2444
Sm  0.2447  0.3084  0.7444
Sm  0.7553  0.6916  0.2556
Sm  0.7553  0.8084  0.7556
Tm  0.1043  0.6344  0.6046
Tm  0.1043  0.8656  0.1046
Tm  0.1837  0.5187  0.1837
Tm  0.1837  0.9813  0.6837
Tm  0.4300  0.6863  0.9305
Tm  0.4300  0.8137  0.4305
Tm  0.5700  0.1863  0.5695
Tm  0.5700  0.3137  0.0695
Tm  0.8163  0.0187  0.3163
Tm  0.8163  0.4813  0.8163
Tm  0.8957  0.1344  0.8954
Tm  0.8957  0.3656  0.3954
Zn  0.5000  0.0000  0.0000
Zn  0.5000  0.5000  0.5000